No. 1
LaHoTl4: theoretical powder diffraction line list (a wavelength of 1.5418 Å), based on a crystal structure in Alexandria, relaxed with GGA-PBE.
Lines closer than 0.1° are merged.

Atomic structure:
abc: 5.170 5.170 7.607
angles: 90.09 90.09 90.01
Atoms (fractional coordinates):
La 0.000 0.000 0.000
Ho 0.501 0.499 0.500
Tl 0.000 0.501 0.272
Tl 0.001 0.499 0.728
Tl 0.499 0.000 0.728
Tl 0.501 0.999 0.272

Largest 12 diffraction maxima, by angle, 2θ = 5–70°:
- d = 4.276 Å, 2θ 20.77, intensity 27
- d = 3.804 Å, 2θ 23.39, intensity 12
- d = 3.656 Å, 2θ 24.35, intensity 25
- d = 2.636 Å, 2θ 34.01, intensity 100
- d = 2.585 Å, 2θ 34.70, intensity 50
- d = 2.212 Å, 2θ 40.79, intensity 10
- d = 2.138 Å, 2θ 42.27, intensity 11
- d = 2.084 Å, 2θ 43.43, intensity 5
- d = 1.902 Å, 2θ 47.83, intensity 8
- d = 1.828 Å, 2θ 49.89, intensity 18
- d = 1.532 Å, 2θ 60.43, intensity 16
- d = 1.502 Å, 2θ 61.76, intensity 37

No. 2
LaHo3Tl3: theoretical powder diffraction line list (a wavelength of 1.5418 Å), based on a crystal structure in Alexandria, relaxed with GGA-PBE.
Lines closer than 0.1° are merged.

Atomic structure:
abc: 9.428 9.428 9.428
angles: 90.00 90.00 90.00
Atoms (fractional coordinates):
La 0.065 0.435 0.565
La 0.435 0.565 0.065
La 0.565 0.065 0.435
La 0.935 0.935 0.935
Ho 0.091 0.591 0.909
Ho 0.177 0.177 0.177
Ho 0.184 0.816 0.316
Ho 0.316 0.184 0.816
Ho 0.323 0.823 0.677
Ho 0.409 0.409 0.409
Ho 0.591 0.909 0.091
Ho 0.677 0.323 0.823
Ho 0.684 0.684 0.684
Ho 0.816 0.316 0.184
Ho 0.823 0.677 0.323
Ho 0.909 0.091 0.591
Tl 0.001 0.270 0.890
Tl 0.110 0.501 0.230
Tl 0.230 0.110 0.501
Tl 0.270 0.890 0.001
Tl 0.390 0.499 0.730
Tl 0.499 0.730 0.390
Tl 0.501 0.230 0.110
Tl 0.610 0.999 0.770
Tl 0.730 0.390 0.499
Tl 0.770 0.610 0.999
Tl 0.890 0.001 0.270
Tl 0.999 0.770 0.610

Largest 12 diffraction maxima, by angle, 2θ = 5–70°:
- d = 3.849 Å, 2θ 23.11, intensity 10
- d = 2.981 Å, 2θ 29.97, intensity 100
- d = 2.615 Å, 2θ 34.29, intensity 4
- d = 2.520 Å, 2θ 35.63, intensity 71
- d = 2.108 Å, 2θ 42.90, intensity 17
- d = 2.010 Å, 2θ 45.11, intensity 10
- d = 1.924 Å, 2θ 47.23, intensity 14
- d = 1.849 Å, 2θ 49.28, intensity 18
- d = 1.529 Å, 2θ 60.54, intensity 26
- d = 1.491 Å, 2θ 62.28, intensity 10
- d = 1.455 Å, 2θ 64.00, intensity 15
- d = 1.361 Å, 2θ 69.02, intensity 5

No. 3
La2Ho3Tl2: theoretical powder diffraction line list (a wavelength of 1.5418 Å), based on a crystal structure in Alexandria, relaxed with GGA-PBE.
Lines closer than 0.1° are merged.

Atomic structure:
abc: 6.600 6.600 8.342
angles: 108.75 108.75 41.75
Atoms (fractional coordinates):
La 0.138 0.138 0.289
La 0.862 0.862 0.711
Ho 0.372 0.372 0.055
Ho 0.500 0.500 0.500
Ho 0.628 0.628 0.945
Tl 0.161 0.161 0.711
Tl 0.839 0.839 0.289

Largest 12 diffraction maxima, by angle, 2θ = 5–70°:
- d = 5.684 Å, 2θ 15.59, intensity 36
- d = 3.121 Å, 2θ 28.60, intensity 40
- d = 3.074 Å, 2θ 29.05, intensity 88
- d = 2.984 Å, 2θ 29.94, intensity 49
- d = 2.895 Å, 2θ 30.88, intensity 33
- d = 2.752 Å, 2θ 32.53, intensity 58
- d = 2.742 Å, 2θ 32.66, intensity 100
- d = 2.391 Å, 2θ 37.62, intensity 29
- d = 2.380 Å, 2θ 37.81, intensity 31
- d = 2.352 Å, 2θ 38.27, intensity 56
- d = 1.676 Å, 2θ 54.77, intensity 24
- d = 1.569 Å, 2θ 58.84, intensity 22

No. 4
La6HoTl: theoretical powder diffraction line list (a wavelength of 1.5418 Å), based on a crystal structure in Alexandria, relaxed with GGA-PBE.
Lines closer than 0.1° are merged.

Atomic structure:
abc: 5.121 5.121 10.395
angles: 90.00 90.00 90.00
Atoms (fractional coordinates):
La 0.000 0.000 0.000
La 0.000 0.000 0.500
La 0.000 0.500 0.246
La 0.000 0.500 0.754
La 0.500 0.000 0.246
La 0.500 0.000 0.754
Ho 0.500 0.500 0.500
Tl 0.500 0.500 0.000

Largest 12 diffraction maxima, by angle, 2θ = 5–70°:
- d = 10.395 Å, 2θ 8.51, intensity 1
- d = 5.198 Å, 2θ 17.06, intensity 1
- d = 5.121 Å, 2θ 17.32, intensity 1
- d = 3.648 Å, 2θ 24.40, intensity 1
- d = 2.971 Å, 2θ 30.08, intensity 100
- d = 2.599 Å, 2θ 34.51, intensity 17
- d = 2.561 Å, 2θ 35.04, intensity 33
- d = 1.824 Å, 2θ 50.00, intensity 24
- d = 1.811 Å, 2θ 50.40, intensity 12
- d = 1.563 Å, 2θ 59.11, intensity 15
- d = 1.546 Å, 2θ 59.81, intensity 28
- d = 1.486 Å, 2θ 62.52, intensity 12

No. 5
La2Ho2Tl: theoretical powder diffraction line list (a wavelength of 1.5418 Å), based on a crystal structure in Alexandria, relaxed with GGA-PBE.
Lines closer than 0.1° are merged.

Atomic structure:
abc: 6.142 6.142 7.902
angles: 129.71 129.71 46.55
Atoms (fractional coordinates):
La 0.115 0.115 0.310
La 0.885 0.885 0.690
Ho 0.300 0.300 0.914
Ho 0.700 0.700 0.086
Tl 0.500 0.500 0.500

Largest 12 diffraction maxima, by angle, 2θ = 5–70°:
- d = 2.890 Å, 2θ 30.94, intensity 100
- d = 2.871 Å, 2θ 31.15, intensity 99
- d = 2.563 Å, 2θ 35.01, intensity 36
- d = 2.500 Å, 2θ 35.92, intensity 33
- d = 2.427 Å, 2θ 37.04, intensity 32
- d = 1.762 Å, 2θ 51.89, intensity 24
- d = 1.741 Å, 2θ 52.55, intensity 22
- d = 1.538 Å, 2θ 60.16, intensity 14
- d = 1.530 Å, 2θ 60.53, intensity 14
- d = 1.503 Å, 2θ 61.73, intensity 13
- d = 1.476 Å, 2θ 63.00, intensity 13
- d = 1.473 Å, 2θ 63.12, intensity 13

No. 6
La2Ho2Tl: theoretical powder diffraction line list (a wavelength of 1.5418 Å), based on a crystal structure in Alexandria, relaxed with GGA-PBE.
Lines closer than 0.1° are merged.

Atomic structure:
abc: 6.763 6.763 9.731
angles: 103.77 103.77 48.54
Atoms (fractional coordinates):
La 0.024 0.024 0.336
La 0.163 0.163 0.050
La 0.837 0.837 0.950
La 0.976 0.976 0.664
Ho 0.353 0.353 0.442
Ho 0.481 0.481 0.156
Ho 0.519 0.519 0.844
Ho 0.647 0.647 0.558
Tl 0.255 0.255 0.723
Tl 0.745 0.745 0.277

Largest 12 diffraction maxima, by angle, 2θ = 5–70°:
- d = 2.975 Å, 2θ 30.04, intensity 6
- d = 2.873 Å, 2θ 31.13, intensity 100
- d = 2.802 Å, 2θ 31.94, intensity 68
- d = 2.780 Å, 2θ 32.20, intensity 36
- d = 2.012 Å, 2θ 45.05, intensity 11
- d = 1.999 Å, 2θ 45.37, intensity 23
- d = 1.674 Å, 2θ 54.84, intensity 8
- d = 1.631 Å, 2θ 56.41, intensity 21
- d = 1.622 Å, 2θ 56.76, intensity 20
- d = 1.609 Å, 2θ 57.25, intensity 13
- d = 1.437 Å, 2θ 64.91, intensity 7
- d = 1.401 Å, 2θ 66.78, intensity 6

No. 7
LaHo2Tl9: theoretical powder diffraction line list (a wavelength of 1.5418 Å), based on a crystal structure in Alexandria, relaxed with GGA-PBE.
Lines closer than 0.1° are merged.

Atomic structure:
abc: 4.806 4.806 14.384
angles: 90.00 90.00 90.00
Atoms (fractional coordinates):
La 0.000 0.000 0.000
Ho 0.000 0.000 0.337
Ho 0.000 0.000 0.663
Tl 0.000 0.500 0.173
Tl 0.000 0.500 0.500
Tl 0.000 0.500 0.827
Tl 0.500 0.000 0.173
Tl 0.500 0.000 0.500
Tl 0.500 0.000 0.827
Tl 0.500 0.500 0.000
Tl 0.500 0.500 0.335
Tl 0.500 0.500 0.665

Largest 10 diffraction maxima, by angle, 2θ = 5–70°:
- d = 14.384 Å, 2θ 6.14, intensity 1
- d = 4.803 Å, 2θ 18.47, intensity 1
- d = 3.396 Å, 2θ 26.24, intensity 1
- d = 2.773 Å, 2θ 32.29, intensity 100
- d = 2.401 Å, 2θ 37.45, intensity 50
- d = 2.148 Å, 2θ 42.07, intensity 1
- d = 1.698 Å, 2θ 54.01, intensity 35
- d = 1.449 Å, 2θ 64.30, intensity 28
- d = 1.446 Å, 2θ 64.42, intensity 13
- d = 1.386 Å, 2θ 67.57, intensity 12

No. 8
LaHo7Tl2: theoretical powder diffraction line list (a wavelength of 1.5418 Å), based on a crystal structure in Alexandria, relaxed with GGA-PBE.
Lines closer than 0.1° are merged.

Atomic structure:
abc: 8.852 8.852 5.549
angles: 90.00 90.00 118.02
Atoms (fractional coordinates):
La 0.000 0.000 0.000
Ho 0.058 0.303 0.500
Ho 0.236 0.764 0.000
Ho 0.303 0.058 0.500
Ho 0.500 0.500 0.500
Ho 0.697 0.942 0.500
Ho 0.764 0.236 0.000
Ho 0.942 0.697 0.500
Tl 0.304 0.696 0.500
Tl 0.696 0.304 0.500

Largest 12 diffraction maxima, by angle, 2θ = 5–70°:
- d = 7.589 Å, 2θ 11.66, intensity 30
- d = 5.549 Å, 2θ 15.97, intensity 88
- d = 4.558 Å, 2θ 19.48, intensity 37
- d = 4.524 Å, 2θ 19.62, intensity 27
- d = 3.132 Å, 2θ 28.50, intensity 57
- d = 2.916 Å, 2θ 30.66, intensity 82
- d = 2.774 Å, 2θ 32.27, intensity 81
- d = 2.625 Å, 2θ 34.16, intensity 83
- d = 2.556 Å, 2θ 35.11, intensity 100
- d = 2.010 Å, 2θ 45.11, intensity 57
- d = 1.670 Å, 2θ 54.98, intensity 26
- d = 1.504 Å, 2θ 61.65, intensity 28

No. 9
LaHo2Tl2: theoretical powder diffraction line list (a wavelength of 1.5418 Å), based on a crystal structure in Alexandria, relaxed with GGA-PBE.
Lines closer than 0.1° are merged.

Atomic structure:
abc: 5.202 5.202 12.936
angles: 90.00 90.00 120.00
Atoms (fractional coordinates):
La 0.000 0.000 0.250
La 0.000 0.000 0.750
Ho 0.000 0.000 0.000
Ho 0.000 0.000 0.500
Ho 0.333 0.667 0.250
Ho 0.667 0.333 0.750
Tl 0.333 0.667 0.624
Tl 0.333 0.667 0.876
Tl 0.667 0.333 0.124
Tl 0.667 0.333 0.376

Largest 12 diffraction maxima, by angle, 2θ = 5–70°:
- d = 3.115 Å, 2θ 28.66, intensity 66
- d = 2.627 Å, 2θ 34.13, intensity 48
- d = 2.601 Å, 2θ 34.48, intensity 100
- d = 2.244 Å, 2θ 40.20, intensity 25
- d = 1.996 Å, 2θ 45.43, intensity 19
- d = 1.848 Å, 2θ 49.30, intensity 17
- d = 1.699 Å, 2θ 53.98, intensity 11
- d = 1.584 Å, 2θ 58.26, intensity 18
- d = 1.507 Å, 2θ 61.55, intensity 18
- d = 1.502 Å, 2θ 61.78, intensity 19
- d = 1.422 Å, 2θ 65.64, intensity 12
- d = 1.373 Å, 2θ 68.30, intensity 28

No. 10
La7Ho12Tl: theoretical powder diffraction line list (a wavelength of 1.5418 Å), based on a crystal structure in Alexandria, relaxed with GGA-PBE.
Lines closer than 0.1° are merged.

Atomic structure:
abc: 7.505 9.591 9.627
angles: 102.12 91.19 94.67
Atoms (fractional coordinates):
La 0.000 0.000 0.000
La 0.185 0.309 0.240
La 0.226 0.773 0.517
La 0.379 0.359 0.881
La 0.621 0.641 0.119
La 0.774 0.227 0.483
La 0.815 0.691 0.760
Ho 0.017 0.062 0.682
Ho 0.125 0.439 0.622
Ho 0.133 0.639 0.106
Ho 0.345 0.729 0.839
Ho 0.350 0.147 0.499
Ho 0.442 0.959 0.181
Ho 0.558 0.041 0.819
Ho 0.650 0.853 0.501
Ho 0.655 0.271 0.161
Ho 0.867 0.361 0.894
Ho 0.875 0.561 0.378
Ho 0.983 0.938 0.318
Tl 0.500 0.500 0.500

Largest 12 diffraction maxima, by angle, 2θ = 5–70°:
- d = 3.135 Å, 2θ 28.47, intensity 14
- d = 3.065 Å, 2θ 29.13, intensity 16
- d = 3.051 Å, 2θ 29.27, intensity 18
- d = 2.997 Å, 2θ 29.81, intensity 32
- d = 2.903 Å, 2θ 30.80, intensity 34
- d = 2.872 Å, 2θ 31.14, intensity 18
- d = 2.852 Å, 2θ 31.37, intensity 33
- d = 2.807 Å, 2θ 31.88, intensity 42
- d = 2.800 Å, 2θ 31.96, intensity 19
- d = 2.787 Å, 2θ 32.12, intensity 100
- d = 2.753 Å, 2θ 32.52, intensity 24
- d = 2.690 Å, 2θ 33.30, intensity 16

No. 11
LaHo6Tm6: theoretical powder diffraction line list (a wavelength of 1.5418 Å), based on a crystal structure in Alexandria, relaxed with GGA-PBE.
Lines closer than 0.1° are merged.

Atomic structure:
abc: 6.568 6.568 10.922
angles: 90.00 90.00 115.59
Atoms (fractional coordinates):
La 0.000 0.000 0.000
Ho 0.000 0.000 0.339
Ho 0.000 0.000 0.661
Ho 0.264 0.736 0.500
Ho 0.357 0.643 0.000
Ho 0.643 0.357 0.000
Ho 0.736 0.264 0.500
Tm 0.000 0.500 0.228
Tm 0.000 0.500 0.772
Tm 0.500 0.000 0.228
Tm 0.500 0.000 0.772
Tm 0.500 0.500 0.301
Tm 0.500 0.500 0.699

Largest 12 diffraction maxima, by angle, 2θ = 5–70°:
- d = 3.045 Å, 2θ 29.33, intensity 68
- d = 2.962 Å, 2θ 30.17, intensity 47
- d = 2.947 Å, 2θ 30.33, intensity 42
- d = 2.809 Å, 2θ 31.86, intensity 29
- d = 2.779 Å, 2θ 32.21, intensity 38
- d = 2.730 Å, 2θ 32.80, intensity 26
- d = 2.604 Å, 2θ 34.45, intensity 100
- d = 2.523 Å, 2θ 35.58, intensity 27
- d = 2.478 Å, 2θ 36.26, intensity 28
- d = 2.451 Å, 2θ 36.67, intensity 21
- d = 2.135 Å, 2θ 42.34, intensity 22
- d = 1.542 Å, 2θ 60.00, intensity 21

No. 12
La3Ho4Tm3: theoretical powder diffraction line list (a wavelength of 1.5418 Å), based on a crystal structure in Alexandria, relaxed with GGA-PBE.
Lines closer than 0.1° are merged.

Atomic structure:
abc: 3.700 9.501 9.501
angles: 89.99 90.00 90.00
Atoms (fractional coordinates):
La 0.000 0.000 0.000
La 0.500 0.334 0.822
La 0.500 0.822 0.334
Ho 0.500 0.207 0.207
Ho 0.500 0.451 0.451
Ho 0.500 0.696 0.946
Ho 0.500 0.946 0.696
Tm 0.000 0.156 0.499
Tm 0.000 0.499 0.156
Tm 0.000 0.653 0.653

Largest 12 diffraction maxima, by angle, 2θ = 5–70°:
- d = 6.719 Å, 2θ 13.18, intensity 10
- d = 3.359 Å, 2θ 26.53, intensity 11
- d = 3.005 Å, 2θ 29.73, intensity 56
- d = 2.919 Å, 2θ 30.62, intensity 28
- d = 2.791 Å, 2θ 32.07, intensity 100
- d = 2.635 Å, 2θ 34.02, intensity 14
- d = 2.304 Å, 2θ 39.09, intensity 11
- d = 1.956 Å, 2θ 46.42, intensity 11
- d = 1.850 Å, 2θ 49.25, intensity 11
- d = 1.664 Å, 2θ 55.19, intensity 16
- d = 1.593 Å, 2θ 57.90, intensity 15
- d = 1.575 Å, 2θ 58.59, intensity 17